The following is a calculated powder diffraction line list of Na2Se4N3. It was derived from a structure optimized by DFT (GGA-PBE), using Cu Kα X-rays.
Intensities are scaled so that the largest is 100.

Peak list (6 most intense, 10 to 90 degrees two-theta, low angle first)
Position (°2θ)  I (rel.)  hkl
13.43  36  0 2 0
19.07  100  1 1 1
27.05  32  0 4 0
33.29  29  0 0 2
35.02  47  4 2 1
39.09  38  5 1 1

Crystal structure
a b c (Å): 12.9935 13.1870 5.3831
angles (deg): 90.00 90.00 90.00
Space group Cccm (No. 66)
Symmetry-distinct sites (fractional):
Na 0.0879 0.1354 0.0000
Se 0.0458 0.3596 0.5000
Se 0.2382 0.1612 0.5000
N 0.0000 0.0000 0.2500
N 0.0000 0.2790 0.2500